# Pm2Sc
Computed powder diffraction line list, λ = 1.5418 Å (Cu Kα). Input: a structure optimized by DFT (PBE).
Peak positions follow from Bragg's law for the DFT cell and can differ from measured ones.

Structure:
```
6
Lattice="3.5550 0.0000 0.0000 0.0000 3.5550 0.0000 0.0000 0.0000 14.7110" Properties=species:S:1:pos:R:3 pbc="T T T"
Pm 0.0000 0.0000 2.3595
Pm 0.0000 0.0000 12.3515
Pm 1.7775 1.7775 4.9960
Pm 1.7775 1.7775 9.7150
Sc 0.0000 0.0000 7.3555
Sc 1.7775 1.7775 0.0000
```

Largest 10 diffraction maxima, sorted by position, 2θ from 5° to 70°:
2theta  I/Imax
12.03  12
25.78  17
31.07  100
35.72  35
36.65  15
51.41  12
52.11  22
61.29  28
62.54  12
64.78  11

# PmSc5
Computed powder diffraction line list, λ = 1.5418 Å (Cu Kα). Input: a structure optimized by DFT (PBE).
Peak positions follow from Bragg's law for the DFT cell and can differ from measured ones.

Structure:
```
12
Lattice="12.0596 0.0000 0.0000 0.0000 3.3866 0.0000 -1.7778 0.0000 7.6575" Properties=species:S:1:pos:R:3 pbc="T T T"
Pm 0.0000 0.0000 0.0000
Pm 6.0298 1.6933 0.0000
Sc 0.1557 1.6933 5.5151
Sc 1.4605 1.6933 2.6581
Sc 3.2288 0.0000 0.5401
Sc 2.8409 0.0000 5.0847
Sc 4.6866 1.6933 3.0563
Sc 6.1855 0.0000 5.5151
Sc 7.4903 0.0000 2.6581
Sc 9.2586 1.6933 0.5401
Sc 8.8707 1.6933 5.0847
Sc 10.7164 0.0000 3.0563
```

Largest 10 diffraction maxima, sorted by position, 2θ from 5° to 70°:
2theta  I/Imax
11.56  21
30.50  24
30.62  13
34.01  27
35.05  100
35.16  18
46.35  17
54.37  13
61.54  17
65.70  14

# PmSc7
Computed powder diffraction line list, λ = 1.5418 Å (Cu Kα). Input: a structure optimized by DFT (PBE).
Peak positions follow from Bragg's law for the DFT cell and can differ from measured ones.

Structure:
```
16
Lattice="3.2803 0.0000 0.0000 0.0000 10.3028 0.0000 0.0000 0.0000 12.1487" Properties=species:S:1:pos:R:3 pbc="T T T"
Pm 0.0000 0.0000 0.0000
Pm 1.6401 5.1514 6.0743
Sc 0.0000 2.3621 4.4415
Sc 0.0000 2.3621 7.7072
Sc 0.0000 5.1514 0.0000
Sc 0.0000 5.1514 3.0684
Sc 0.0000 5.1514 9.0803
Sc 0.0000 7.9407 4.4415
Sc 0.0000 7.9407 7.7072
Sc 1.6401 0.0000 3.0060
Sc 1.6401 0.0000 6.0743
Sc 1.6401 0.0000 9.1427
Sc 1.6401 2.7893 1.6328
Sc 1.6401 2.7893 10.5158
Sc 1.6401 7.5135 1.6328
Sc 1.6401 7.5135 10.5158
```

Largest 10 diffraction maxima, sorted by position, 2θ from 5° to 70°:
2theta  I/Imax
11.26  47
32.21  41
33.21  100
34.27  100
34.83  45
35.21  54
40.84  24
50.37  33
63.26  23
67.39  25

# Pm3Sc5
Computed powder diffraction line list, λ = 1.5418 Å (Cu Kα). Input: a structure optimized by DFT (PBE).
Peak positions follow from Bragg's law for the DFT cell and can differ from measured ones.

Structure:
```
8
Lattice="3.4517 0.0000 0.0000 0.0000 5.4379 0.0000 0.0000 0.0000 12.0298" Properties=species:S:1:pos:R:3 pbc="T T T"
Pm 0.0000 0.0000 0.0000
Pm 0.0000 2.7189 2.2532
Pm 1.7259 0.0000 3.3807
Sc 0.0000 0.0000 6.3348
Sc 0.0000 2.7189 8.2009
Sc 1.7259 0.0000 9.0808
Sc 1.7259 2.7189 5.4032
Sc 1.7259 2.7189 10.9768
```

Largest 10 diffraction maxima, sorted by position, 2θ from 5° to 70°:
2theta  I/Imax
7.35  97
27.64  25
29.84  24
31.59  19
32.94  37
34.07  44
34.19  100
45.01  23
59.60  28
63.66  16

# Pm5Sc3Se8
Computed powder diffraction line list, λ = 1.5418 Å (Cu Kα). Input: a structure optimized by DFT (PBE).
Peak positions follow from Bragg's law for the DFT cell and can differ from measured ones.

Structure:
```
16
Lattice="4.0582 2.3430 6.7522 -4.0582 2.3430 6.7522 0.0000 -4.6860 6.7522" Properties=species:S:1:pos:R:3 pbc="T T T"
Pm 0.0000 0.0000 0.0000
Pm -2.0291 -1.1715 6.7522
Pm -2.0291 1.1715 13.5045
Pm 0.0000 2.3430 6.7522
Pm 0.0000 0.0000 10.1284
Sc -4.0582 0.0000 10.1284
Sc -2.0291 1.1715 3.3761
Sc 2.0291 1.1715 3.3761
Se -2.1029 -1.2141 11.6930
Se 0.0000 0.0000 4.8860
Se 0.0000 -2.4283 8.5637
Se -2.1029 1.2141 8.5637
Se 2.1029 -1.2141 11.6930
Se 0.0000 2.4283 11.6930
Se 0.0000 0.0000 15.3708
Se 2.1029 1.2141 8.5637
```

Largest 10 diffraction maxima, sorted by position, 2θ from 5° to 70°:
2theta  I/Imax
13.11  5
25.73  8
30.97  100
33.76  7
44.08  36
44.66  36
54.35  6
55.34  19
61.53  4
64.55  11

# PmSmSc2Se4
Computed powder diffraction line list, λ = 1.5418 Å (Cu Kα). Input: a structure optimized by DFT (PBE).
Peak positions follow from Bragg's law for the DFT cell and can differ from measured ones.

Structure:
```
8
Lattice="6.9204 0.0000 0.0000 0.0000 3.9732 0.0000 -2.2912 0.0000 6.7342" Properties=species:S:1:pos:R:3 pbc="T T T"
Pm 0.0000 0.0000 0.0000
Sm 3.4602 1.9866 0.0000
Sc -1.1456 1.9866 3.3671
Sc 2.3146 0.0000 3.3671
Se 0.0166 0.0000 4.8809
Se 1.1649 1.9866 1.8578
Se 3.4643 1.9866 4.8764
Se 4.6126 0.0000 1.8533
```

Largest 10 diffraction maxima, sorted by position, 2θ from 5° to 70°:
2theta  I/Imax
13.15  12
26.23  11
31.40  100
34.22  9
44.36  12
44.51  23
45.47  24
45.67  12
56.45  12
65.53  11